The following is a simulated X-ray powder pattern of LiRhSeN2. It was derived from a structure optimized by DFT (GGA-PBE), using Cu Kα (λ = 1.5418 Å).
Lines closer than 0.1° are merged.

Peak list (6 most intense, 2θ = 5–70°, most intense first)
2theta	d/Å	I (rel.)
23.51	3.784	100.0
40.52	2.226	46.6
33.49	2.675	32.5
32.52	2.753	31.6
47.38	1.919	25.2
64.66	1.442	22.8

abc: 3.7837 3.7837 5.5062
angles: 90.00 90.00 90.00
Space group P4/mmm (No. 123)
Unique sites:
Li1 0.0000 0.0000 0.0000 [1 per cell]
Rh1 0.5000 0.5000 0.5000 [1 per cell]
Se1 0.5000 0.5000 0.0000 [1 per cell]
N1 0.0000 0.5000 0.5000 [2 per cell]